Starting from a structure optimized by DFT (PBE), the PXRD pattern of Tb4CuSn8 was simulated for Cu Ka.
Peak positions follow from Bragg's law for the DFT cell and can differ from measured ones.

Atomic structure:
```
Tb4CuSn8
1.0
4.3736 0.0000 0.0000
0.0000 4.4295 0.0000
0.0000 0.0000 17.2216
Tb Cu Sn
4 1 8
Cartesian
0.0000 0.0000 0.0000
0.0000 2.2148 8.3210
2.1868 0.0000 13.5669
2.1868 2.2148 4.9716
0.0000 2.2148 12.2766
0.0000 0.0000 5.5524
0.0000 0.0000 10.8010
0.0000 2.2148 2.4595
0.0000 2.2148 14.7737
2.1868 0.0000 2.5372
2.1868 0.0000 7.5975
2.1868 2.2148 10.7626
2.1868 2.2148 16.7433
```

Principal peaks in the range 10° ≤ 2θ ≤ 80°, low angle first:
2θ/deg, I (rel.)
31.16, 16
32.73, 100
37.48, 9
40.74, 18
41.28, 18
56.49, 12
59.40, 12
68.57, 10
69.11, 12
69.87, 12

---

Starting from a structure optimized by DFT (PBE), the PXRD pattern of CuSn3Te4 was simulated for Cu Ka.
Peak positions follow from Bragg's law for the DFT cell and can differ from measured ones.

Atomic structure:
```
CuSn3Te4
1.0
12.0256 0.0000 0.0000
0.0000 6.3315 0.0000
0.0000 0.0000 6.4839
Cu Sn Te
2 6 8
Cartesian
0.0000 1.0372 0.0000
6.0128 5.2943 3.2420
0.0000 4.8151 2.7609
3.0031 1.6859 2.9460
3.0097 4.6456 6.1880
6.0128 1.5164 6.0028
9.0225 1.6859 2.9460
9.0159 4.6456 6.1880
0.0000 1.6202 2.5120
0.0000 4.8727 5.8247
2.7256 1.5871 5.9197
3.2872 4.7444 2.6777
6.0128 1.4588 2.5827
6.0128 4.7113 5.7539
8.7384 4.7444 2.6777
9.3000 1.5871 5.9197
```

Principal peaks in the range 10° ≤ 2θ ≤ 80°, low angle first:
2θ/deg, I (rel.)
24.61, 17
27.51, 100
28.19, 99
29.72, 88
39.80, 70
40.94, 63
41.42, 64
46.92, 19
50.45, 64
73.68, 18

---

Starting from a structure optimized by DFT (PBE), the PXRD pattern of Cu2SnTe3 was simulated for Cu Ka.
Peak positions follow from Bragg's law for the DFT cell and can differ from measured ones.

Atomic structure:
```
Cu2SnTe3
1.0
0.0000 13.0812 6.1952
4.3770 0.0000 6.1952
4.3770 13.0812 0.0000
Cu Sn Te
8 4 12
Cartesian
0.0000 0.0000 0.0000
2.1031 2.1855 3.1379
4.2916 4.3551 6.2355
2.1885 6.5406 3.0976
2.2739 10.8957 3.1379
4.3770 13.0812 6.1115
6.5655 19.6218 9.2091
4.4624 21.8072 6.2355
4.2697 8.6277 6.2028
6.6728 15.1683 9.3004
4.4843 17.5346 6.2028
6.4582 24.0752 9.3004
4.1979 10.9092 1.4060
6.5843 13.2678 4.7845
4.5561 15.2531 1.4060
2.3676 4.3686 4.5036
4.3958 6.3540 7.8821
2.0094 8.7125 4.5036
4.5512 11.0592 7.7701
2.1697 12.8946 4.7845
4.2028 15.1032 7.7701
6.3914 17.5997 10.8677
4.3582 19.8084 7.8821
6.7397 21.6438 10.8677
```

Principal peaks in the range 10° ≤ 2θ ≤ 80°, low angle first:
2θ/deg, I (rel.)
24.94, 100
41.27, 60
41.42, 12
48.80, 29
48.93, 14
59.70, 4
59.88, 7
65.79, 13
75.19, 9
75.44, 6

---

Starting from a structure optimized by DFT (PBE), the PXRD pattern of Tl2Cu2SnTe4 was simulated for Cu Ka.
Peak positions follow from Bragg's law for the DFT cell and can differ from measured ones.

Atomic structure:
```
Tl2Cu2SnTe4
1.0
8.0956 -2.1050 0.0000
8.0956 2.1050 0.0000
-3.2078 0.0000 7.7288
Tl Cu Sn Te
2 2 1 4
Cartesian
1.8968 0.0000 0.3318
11.0867 0.0000 7.3970
3.2274 0.0000 3.8391
9.7560 0.0000 3.8897
-1.6039 0.0000 3.8644
1.0729 0.0000 5.3761
5.2253 0.0000 5.6551
7.7581 0.0000 2.0737
11.9105 0.0000 2.3527
```

Principal peaks in the range 10° ≤ 2θ ≤ 80°, low angle first:
2θ/deg, I (rel.)
25.86, 20
26.05, 24
27.74, 22
30.27, 100
32.70, 18
34.96, 24
42.97, 22
45.32, 23
50.58, 17
53.47, 18

---

Starting from a structure optimized by DFT (PBE), the PXRD pattern of Tl2Cu2SnTe4 was simulated for Cu Ka.
Peak positions follow from Bragg's law for the DFT cell and can differ from measured ones.

Atomic structure:
```
Tl2Cu2SnTe4
1.0
0.0000 6.1959 3.6052
5.9757 0.0000 3.6052
5.9757 6.1959 0.0000
Tl Cu Sn Te
2 2 1 4
Cartesian
2.9878 3.0979 0.0000
2.9878 3.0979 3.6052
7.3036 6.1959 2.9516
4.6478 6.1959 2.9516
5.9757 6.1959 7.1696
5.9757 4.0931 1.8804
5.9757 8.2987 1.8804
8.1884 6.1959 5.4054
3.7630 6.1959 5.4054
```

Principal peaks in the range 10° ≤ 2θ ≤ 80°, low angle first:
2θ/deg, I (rel.)
25.95, 23
26.56, 31
28.65, 13
28.82, 31
29.91, 17
32.40, 100
32.56, 20
33.29, 21
45.62, 20
49.34, 16

---

Starting from a structure optimized by DFT (PBE), the PXRD pattern of Tm3Cu4Sn4 was simulated for Cu Ka.
Peak positions follow from Bragg's law for the DFT cell and can differ from measured ones.

Atomic structure:
```
Tm3Cu4Sn4
1.0
-2.0927 4.2078 6.6861
2.0927 -4.2078 6.6861
2.0927 4.2078 -6.6861
Tm Cu Sn
3 4 4
Cartesian
0.0000 0.0000 0.0000
0.0000 0.0000 4.7134
0.0000 0.0000 8.6588
2.0927 -2.2009 4.1447
0.0000 2.0069 2.5413
2.0927 2.2009 4.1447
0.0000 6.4087 2.5413
2.0927 0.0000 2.3246
0.0000 2.8499 0.0000
0.0000 5.5657 0.0000
0.0000 4.2078 4.3615
```

Principal peaks in the range 10° ≤ 2θ ≤ 80°, low angle first:
2θ/deg, I (rel.)
21.11, 17
29.27, 60
30.87, 26
36.37, 100
37.90, 17
40.47, 29
41.02, 24
43.23, 33
60.70, 21
74.45, 26

---

Starting from a structure optimized by DFT (PBE), the PXRD pattern of Tm4CuSn was simulated for Cu Ka.
Peak positions follow from Bragg's law for the DFT cell and can differ from measured ones.

Atomic structure:
```
Tm4CuSn
1.0
7.1831 0.0000 0.0000
0.0000 7.1186 0.0000
-0.4376 0.0000 6.7853
Tm Cu Sn
8 2 2
Cartesian
0.9628 1.1841 1.2115
0.7440 2.3752 4.6042
2.2671 4.5937 0.7885
2.0483 6.0842 4.1811
4.6972 1.0344 2.6041
4.4783 2.5249 5.9968
6.0015 4.7434 2.1811
5.7826 5.9345 5.5737
-0.2188 0.0000 3.3926
0.0000 3.5593 0.0000
3.5916 0.0000 0.0000
3.3727 3.5593 3.3926
```

Principal peaks in the range 10° ≤ 2θ ≤ 80°, low angle first:
2θ/deg, I (rel.)
27.87, 91
28.32, 100
29.85, 78
30.18, 45
31.08, 51
31.34, 41
42.00, 24
42.85, 29
43.07, 32
50.12, 23

---

Starting from a structure optimized by DFT (PBE), the PXRD pattern of Tm4CuSn3 was simulated for Cu Ka.
Peak positions follow from Bragg's law for the DFT cell and can differ from measured ones.

Atomic structure:
```
Tm4CuSn3
1.0
4.2539 0.0000 0.0000
0.0000 4.3284 0.0000
0.0000 0.0000 11.1148
Tm Cu Sn
4 1 3
Cartesian
0.0000 0.0000 0.0000
0.0000 2.1642 5.2732
2.1270 0.0000 7.8721
2.1270 2.1642 2.3788
0.0000 0.0000 2.9826
0.0000 2.1642 8.3421
2.1270 0.0000 4.7288
2.1270 2.1642 10.4479
```

Principal peaks in the range 10° ≤ 2θ ≤ 80°, low angle first:
2θ/deg, I (rel.)
30.54, 100
31.79, 24
32.21, 30
38.35, 59
38.71, 15
41.74, 24
42.50, 23
53.68, 14
54.02, 15
61.09, 16

---

Starting from a structure optimized by DFT (PBE), the PXRD pattern of VCu4Sn was simulated for Cu Ka.
Peak positions follow from Bragg's law for the DFT cell and can differ from measured ones.

Atomic structure:
```
VCu4Sn
1.0
0.0000 3.4919 3.4919
3.4919 0.0000 3.4919
3.4919 3.4919 0.0000
V Cu Sn
1 4 1
Cartesian
0.0000 0.0000 0.0000
2.6145 2.6145 2.6145
4.3694 4.3694 2.6145
4.3694 2.6145 4.3694
2.6145 4.3694 4.3694
5.2379 5.2379 5.2379
```

Principal peaks in the range 10° ≤ 2θ ≤ 80°, low angle first:
2θ/deg, I (rel.)
22.04, 7
25.51, 7
36.39, 34
42.95, 100
44.96, 34
57.52, 2
59.16, 3
65.47, 12
70.00, 30
77.28, 23

---

Starting from a structure optimized by DFT (PBE), the PXRD pattern of Y3Cu6Sn5 was simulated for Cu Ka.
Peak positions follow from Bragg's law for the DFT cell and can differ from measured ones.

Atomic structure:
```
Y3Cu6Sn5
1.0
-2.1661 4.9801 6.4005
2.1661 -4.9801 6.4005
2.1661 4.9801 -6.4005
Y Cu Sn
3 6 5
Cartesian
0.0000 0.0000 0.0000
0.0000 0.0000 3.9751
0.0000 0.0000 8.8259
2.1661 -2.1371 4.7852
2.1661 3.0737 0.0000
0.0000 2.8430 1.6153
2.1661 2.1371 4.7852
0.0000 1.9064 6.4005
0.0000 7.1173 1.6153
2.1661 -1.4725 2.1021
2.1661 1.4725 2.1021
0.0000 4.9801 0.0000
0.0000 3.5076 4.2984
0.0000 6.4527 4.2984
```

Principal peaks in the range 10° ≤ 2θ ≤ 80°, low angle first:
2θ/deg, I (rel.)
29.38, 76
33.28, 40
34.02, 81
34.22, 65
34.57, 100
36.89, 78
41.70, 91
42.41, 93
44.54, 58
63.90, 47

---

Starting from a structure optimized by DFT (PBE), the PXRD pattern of Y2Cu3Sn3 was simulated for Cu Ka.
Peak positions follow from Bragg's law for the DFT cell and can differ from measured ones.

Atomic structure:
```
Y2Cu3Sn3
1.0
3.0690 0.0000 0.0000
0.0000 3.0690 0.0000
0.0000 0.0000 22.0010
Y Cu Sn
2 3 3
Cartesian
0.0000 0.0000 5.4024
0.0000 0.0000 16.5986
0.0000 0.0000 2.6152
0.0000 0.0000 11.0005
0.0000 0.0000 19.3858
0.0000 0.0000 0.0000
0.0000 0.0000 8.4625
0.0000 0.0000 13.5385
```

Principal peaks in the range 10° ≤ 2θ ≤ 80°, low angle first:
2θ/deg, I (rel.)
29.10, 100
32.56, 33
41.62, 38
44.22, 57
53.81, 32
60.32, 12
68.35, 17
70.24, 14
75.81, 8
77.77, 21

---

Starting from a structure optimized by DFT (PBE), the PXRD pattern of YCu5Sn was simulated for Cu Ka.
Peak positions follow from Bragg's law for the DFT cell and can differ from measured ones.

Atomic structure:
```
YCu5Sn
1.0
8.2601 0.0000 0.0000
0.0000 5.0165 0.0000
0.0000 0.0000 10.5941
Y Cu Sn
4 20 4
Cartesian
2.0540 1.2541 0.6514
2.0761 3.7624 5.9485
6.1840 1.2541 4.6457
6.2062 3.7624 9.9427
0.4810 3.7624 1.0771
0.5627 0.0051 3.3084
0.5627 2.5032 3.3084
0.6919 1.2541 5.4745
1.5224 1.2541 7.8637
2.6077 3.7624 2.5666
3.4381 3.7624 0.1775
3.5673 2.5133 8.6055
3.5673 5.0114 8.6055
3.6491 1.2541 6.3741
4.6111 3.7624 4.2200
4.6928 0.0051 1.9886
4.6928 2.5032 1.9886
4.8220 1.2541 10.4167
5.6524 1.2541 8.0275
6.7378 3.7624 2.7305
7.5682 3.7624 5.1196
7.6974 2.5133 7.2857
7.6974 5.0114 7.2857
7.7791 1.2541 9.5170
1.1464 3.7624 9.1149
2.9836 1.2541 3.8178
5.2765 3.7624 6.7763
7.1137 1.2541 1.4793
```

Principal peaks in the range 10° ≤ 2θ ≤ 80°, low angle first:
2θ/deg, I (rel.)
35.60, 41
35.80, 41
38.02, 70
38.24, 100
43.05, 59
44.13, 40
44.47, 73
44.71, 37
45.70, 79
65.82, 29

---

Starting from a structure optimized by DFT (PBE), the PXRD pattern of Zn4CuSn was simulated for Cu Ka.
Peak positions follow from Bragg's law for the DFT cell and can differ from measured ones.

Atomic structure:
```
Zn4CuSn
1.0
0.0000 3.6973 3.6973
3.6973 0.0000 3.6973
3.6973 3.6973 0.0000
Zn Cu Sn
4 1 1
Cartesian
2.7814 2.7814 2.7814
4.6133 4.6133 2.7814
4.6133 2.7814 4.6133
2.7814 4.6133 4.6133
5.5460 5.5460 5.5460
0.0000 0.0000 0.0000
```

Principal peaks in the range 10° ≤ 2θ ≤ 80°, low angle first:
2θ/deg, I (rel.)
20.81, 3
24.07, 4
34.30, 37
40.46, 100
42.34, 31
49.29, 1
55.58, 1
61.43, 13
65.60, 31
72.28, 24